Record 1
Structure and calculated PXRD pattern of Cs2HgPbI6 (a structure optimized by DFT (GGA-PBE); Cu Kα (λ = 1.5418 Å)).
No peak broadening, texture or thermal motion is included.

Atomic structure:
Unit cell a=8.8520 b=8.8537 c=9.7024 alpha=62.89 beta=62.95 gamma=60.01
Sites, in units of the cell vectors:
Cs 0.0000 0.0000 0.0000
Cs 0.4828 0.4831 0.5499
Hg 0.2730 0.2731 0.1811
Pb 0.7222 0.7225 0.8327
I 0.0218 0.4494 0.6524
I 0.3802 0.9296 0.1614
I 0.4488 0.8759 0.6523
I 0.5292 0.3796 0.1619
I 0.8758 0.0223 0.6522
I 0.9293 0.5290 0.1620

The 10 most intense peaks (10 to 90 degrees two-theta), sorted by position:
- 2θ = 13.58°, intensity 48.5, (1 1 0)
- 2θ = 18.42°, intensity 75.6, (0 1 -1)
- 2θ = 21.53°, intensity 44.0, (0 0 2)
- 2θ = 22.80°, intensity 79.2, (1 2 0)
- 2θ = 24.31°, intensity 34.0, (2 0 0)
- 2θ = 27.36°, intensity 100.0, (2 2 0)
- 2θ = 31.11°, intensity 33.9, (0 1 3)
- 2θ = 34.16°, intensity 43.9, (3 2 3)
- 2θ = 35.11°, intensity 39.7, (0 3 1)
- 2θ = 42.69°, intensity 32.0, (4 3 2)

Record 2
Structure and calculated PXRD pattern of Cs3Pu2HgI9 (a structure optimized by DFT (GGA-PBE); Cu Kα (λ = 1.5418 Å)).
No peak broadening, texture or thermal motion is included.

Atomic structure:
Unit cell a=8.6212 b=8.6212 c=13.6146 alpha=90.00 beta=90.00 gamma=120.00
Sites, in units of the cell vectors:
Cs 0.0000 0.0000 0.0000
Cs 0.3333 0.6667 0.7473
Cs 0.6667 0.3333 0.2527
Pu 0.3333 0.6667 0.1467
Pu 0.6667 0.3333 0.8533
Hg 0.0000 0.0000 0.5000
I 0.0000 0.5000 0.0000
I 0.1621 0.3242 0.2611
I 0.1621 0.8379 0.2611
I 0.3242 0.1621 0.7389
I 0.5000 0.0000 0.0000
I 0.5000 0.5000 0.0000
I 0.6758 0.8379 0.2611
I 0.8379 0.1621 0.7389
I 0.8379 0.6758 0.7389

The 10 most intense peaks (10 to 90 degrees two-theta), sorted by position:
- 2θ = 13.53°, intensity 55.6, (1 0 1)
- 2θ = 17.63°, intensity 29.0, (0 1 2)
- 2θ = 20.60°, intensity 24.1, (1 1 0)
- 2θ = 24.73°, intensity 24.2, (0 2 1)
- 2θ = 27.25°, intensity 100.0, (2 0 2)
- 2θ = 28.56°, intensity 21.2, (1 1 3)
- 2θ = 31.02°, intensity 46.7, (2 0 3)
- 2θ = 41.03°, intensity 31.4, (0 2 5)
- 2θ = 41.92°, intensity 40.1, (2 2 0)
- 2θ = 50.72°, intensity 17.8, (0 4 2)

Record 3
Structure and calculated PXRD pattern of CsHg2Se2I (a structure optimized by DFT (GGA-PBE); Cu Kα (λ = 1.5418 Å)).
No peak broadening, texture or thermal motion is included.

Atomic structure:
Unit cell a=7.7231 b=7.3486 c=10.1688 alpha=90.00 beta=107.20 gamma=90.00
Sites, in units of the cell vectors:
Cs 0.2447 0.2500 0.0324
Cs 0.7553 0.7500 0.9676
Hg 0.2849 0.5055 0.6197
Hg 0.2849 0.9945 0.6197
Hg 0.7151 0.0055 0.3803
Hg 0.7151 0.4945 0.3803
Se 0.0796 0.2500 0.6407
Se 0.4961 0.7500 0.5875
Se 0.5039 0.2500 0.4125
Se 0.9204 0.7500 0.3593
I 0.2310 0.7500 0.9118
I 0.7690 0.2500 0.0882

The 10 most intense peaks (10 to 90 degrees two-theta), sorted by position:
- 2θ = 12.74°, intensity 44.8, (1 0 -1)
- 2θ = 17.11°, intensity 86.0, (1 0 1)
- 2θ = 18.67°, intensity 36.7, (1 0 -2)
- 2θ = 24.13°, intensity 47.5, (2 0 0)
- 2θ = 24.75°, intensity 31.6, (1 0 2)
- 2θ = 25.93°, intensity 54.6, (0 2 1)
- 2θ = 27.53°, intensity 34.4, (0 0 3)
- 2θ = 30.76°, intensity 42.3, (1 2 -2)
- 2θ = 33.73°, intensity 100.0, (2 2 -1)
- 2θ = 34.90°, intensity 22.0, (1 2 2)